# 1
Structure and computed X-ray diffraction stick pattern of La3TaCl3O6 (a cell relaxed with PBE; copper Kα).
Lines closer than 0.1° are merged.

Unit cell a=9.6075 b=9.6075 c=5.4236 alpha=90.00 beta=90.00 gamma=120.00
Space group P6_3/m (No. 176)
Symmetry-distinct sites (fractional):
La1 0.0900 0.4048 0.2500
Ta1 0.3333 0.6667 0.7500
Cl1 0.0506 0.2404 0.7500
O1 0.1588 0.6359 0.5155

Peak list (12 most intense, 10 to 80 degrees two-theta, sorted by position)
2θ/deg, I/Imax, (hkl)
10.63, 53.9, 1 0 0
24.76, 51.0, 1 1 1
27.01, 55.2, 2 0 1
28.38, 33.0, 2 1 0
32.28, 17.6, 3 0 0
32.92, 100.0, 2 1 1
33.03, 28.0, 0 0 2
44.10, 36.6, 2 1 2
46.84, 25.5, 3 0 2
50.70, 34.7, 2 3 1
58.93, 18.8, 2 1 3
61.43, 27.6, 4 1 2


# 2
Structure and computed X-ray diffraction stick pattern of La3TiCl5O4 (a cell relaxed with PBE; copper Kα).
Lines closer than 0.1° are merged.

Unit cell a=16.954 b=4.082 c=14.805 alpha=90.00 beta=90.00 gamma=90.00
Space group Pnma (No. 62)
Symmetry-distinct sites (fractional):
La1 0.120 0.250 0.081
La2 0.121 0.750 0.416
La3 0.130 0.250 0.739
Ti1 0.208 0.750 0.911
Cl1 0.016 0.250 0.904
Cl2 0.021 0.250 0.284
Cl3 0.054 0.250 0.556
Cl4 0.180 0.750 0.225
Cl5 0.202 0.750 0.601
O1 0.152 0.750 0.018
O2 0.155 0.750 0.802
O3 0.182 0.250 0.410
O4 0.208 0.250 0.909

Peak list (12 most intense, 10 to 80 degrees two-theta, sorted by position)
2θ/deg, I/Imax, (hkl)
20.83, 100.0, 2 0 3
20.96, 50.4, 4 0 0
25.46, 25.4, 1 1 2
29.57, 24.9, 3 1 2
30.33, 33.7, 2 1 3
36.41, 42.0, 0 0 6
36.52, 34.2, 5 1 2
36.65, 77.6, 6 0 3
37.91, 24.2, 1 1 5
44.38, 32.3, 0 2 0
49.53, 32.0, 4 2 0
58.86, 36.8, 6 2 3


# 3
Structure and computed X-ray diffraction stick pattern of La5Pb3Cl (a cell relaxed with PBE; copper Kα).
Lines closer than 0.1° are merged.

Unit cell a=9.7879 b=9.7879 c=6.9261 alpha=90.00 beta=90.00 gamma=120.00
Space group P6_3/mcm (No. 193)
Symmetry-distinct sites (fractional):
La1 0.0000 0.2626 0.2500
La2 0.3333 0.6667 0.0000
Pb1 0.0000 0.3851 0.7500
Cl1 0.0000 0.0000 0.0000

Peak list (12 most intense, 10 to 80 degrees two-theta, sorted by position)
2θ/deg, I/Imax, (hkl)
25.73, 14.1, 0 0 2
27.84, 8.9, 2 1 0
30.75, 50.4, 2 1 1
31.66, 100.0, 3 0 0
40.52, 16.1, 3 1 1
45.38, 13.0, 2 2 2
48.62, 21.2, 2 1 3
59.20, 9.6, 4 2 1
60.83, 11.3, 5 0 2
62.45, 9.7, 5 1 1
62.96, 13.0, 3 0 4
74.67, 9.9, 2 1 5


# 4
Structure and computed X-ray diffraction stick pattern of Rb2LaCl5 (a cell relaxed with PBE; copper Kα).
Lines closer than 0.1° are merged.

Unit cell a=13.697 b=9.021 c=8.414 alpha=90.00 beta=90.00 gamma=90.00
Space group Pnma (No. 62)
Symmetry-distinct sites (fractional):
Rb1 0.174 0.000 0.033
La1 0.002 0.250 0.571
Cl1 0.012 0.250 0.909
Cl2 0.082 0.539 0.653
Cl3 0.165 0.250 0.364
Cl4 0.196 0.750 0.331

Peak list (12 most intense, 10 to 80 degrees two-theta, sorted by position)
2θ/deg, I/Imax, (hkl)
12.35, 35.5, 1 0 1
21.12, 46.0, 0 0 2
22.15, 93.7, 3 0 1
23.30, 79.6, 1 2 1
23.62, 59.1, 2 2 0
29.80, 86.5, 1 2 2
31.89, 72.3, 2 2 2
32.84, 42.0, 4 2 0
36.01, 33.4, 2 1 3
37.64, 25.4, 3 0 3
39.97, 100.0, 0 4 0
46.17, 27.5, 3 4 1


# 5
Structure and computed X-ray diffraction stick pattern of LaSeCl (a cell relaxed with PBE; copper Kα).
Lines closer than 0.1° are merged.

Unit cell a=7.692 b=4.366 c=9.187 alpha=90.00 beta=90.00 gamma=90.00
Space group Pnma (No. 62)
Symmetry-distinct sites (fractional):
La1 0.240 0.250 0.131
Se1 0.041 0.250 0.829
Cl1 0.136 0.250 0.440

Peak list (12 most intense, 10 to 80 degrees two-theta, sorted by position)
2θ/deg, I/Imax, (hkl)
22.55, 56.5, 1 0 2
25.38, 41.1, 1 1 1
30.55, 23.6, 1 1 2
30.99, 18.3, 2 1 0
31.44, 18.3, 1 0 3
32.52, 100.0, 2 1 1
35.82, 21.8, 0 1 3
37.74, 48.6, 1 1 3
40.28, 39.1, 3 0 2
41.36, 30.5, 0 2 0
59.11, 24.9, 3 2 2
59.65, 18.2, 2 1 5


Number 2 is which compound? La3TiCl5O4